Computed PXRD pattern of Cs3F5 for Cu Kα (weighted mean of Kα1 and Kα2), from the PBE geometry in Alexandria.

Main lines, low angle first (10° ≤ 2θ ≤ 90°):
| two_theta | I/Imax | h k l |
| --- | --- | --- |
| 22.62 | 86 | 1 3 1 |
| 22.97 | 38 | 0 0 4 |
| 27.94 | 100 | 1 3 3 |
| 32.12 | 62 | 0 6 2 |
| 34.36 | 51 | 2 0 2 |
| 36.47 | 58 | 1 3 5 |
| 44.60 | 29 | 2 6 0 |
| 46.50 | 14 | 0 6 6 |
| 46.75 | 18 | 1 3 7 |
| 48.97 | 16 | 1 9 1 |
| 50.75 | 22 | 2 6 4 |
| 76.81 | 15 | 4 6 2 |

Structure:
```
data_Cs3F5
_cell_length_a 5.5441
_cell_length_b 17.9178
_cell_length_c 15.4882
_cell_angle_alpha 90.00
_cell_angle_beta 90.00
_cell_angle_gamma 90.00
_space_group_name_H-M_alt 'F d d 2'
_space_group_IT_number 43
_space_group_name_Hall 'F 2 -2d'
loop_
_atom_site_label
_atom_site_type_symbol
_atom_site_fract_x
_atom_site_fract_y
_atom_site_fract_z
Cs1 Cs 0.0000 0.0000 0.0000
Cs2 Cs 0.0141 0.3331 0.9889
F1 F 0.0000 0.0000 0.5879
F2 F 0.0446 0.3548 0.3855
F3 F 0.0495 0.3122 0.6010
```